No. 1
Starting from a crystal structure in Alexandria, relaxed with GGA-PBE, the powder X-ray diffraction pattern of Sm4TmSe7 was calculated for Cu Ka.
Lines closer than 0.1° are merged.

Atomic structure:
Unit cell a=7.0890 b=7.0890 c=12.3385 alpha=104.19 beta=104.19 gamma=33.06
Atoms (fractional coordinates):
1 Sm 0.0000 0.0000 0.0000
2 Sm 0.1884 0.1884 0.7666
3 Sm 0.5871 0.5871 0.3841
4 Sm 0.8871 0.8871 0.5728
5 Tm 0.7747 0.7747 0.1524
6 Se 0.1535 0.1535 0.2227
7 Se 0.2260 0.2260 0.5242
8 Se 0.3834 0.3834 0.0785
9 Se 0.5482 0.5482 0.6258
10 Se 0.6314 0.6314 0.9316
11 Se 0.8488 0.8488 0.7907
12 Se 0.9248 0.9248 0.3541

Peak list (10 most intense, 10° ≤ 2θ ≤ 90°, sorted by position)
22.55 deg, d = 3.943 Å, rel. 83
23.01 deg, d = 3.864 Å, rel. 99
29.74 deg, d = 3.004 Å, rel. 75
31.26 deg, d = 2.862 Å, rel. 100
32.33 deg, d = 2.769 Å, rel. 69
34.43 deg, d = 2.605 Å, rel. 50
36.68 deg, d = 2.450 Å, rel. 47
39.56 deg, d = 2.278 Å, rel. 52
44.64 deg, d = 2.030 Å, rel. 44
44.94 deg, d = 2.017 Å, rel. 59



No. 2
Starting from a crystal structure in Alexandria, relaxed with GGA-PBE, the powder X-ray diffraction pattern of Fe2As2Ru was calculated for Cu Ka.
Lines closer than 0.1° are merged.

Atomic structure:
Unit cell a=6.7179 b=6.7179 c=3.0335 alpha=90.00 beta=90.00 gamma=90.00
Atoms (fractional coordinates):
1 Fe 0.1334 0.3666 0.0000
2 Fe 0.3666 0.8666 0.0000
3 Fe 0.6334 0.1334 0.0000
4 Fe 0.8666 0.6334 0.0000
5 As 0.1621 0.6621 0.5000
6 As 0.3379 0.1621 0.5000
7 As 0.6621 0.8379 0.5000
8 As 0.8379 0.3379 0.5000
9 Ru 0.0000 0.0000 0.5000
10 Ru 0.5000 0.5000 0.5000

Peak list (10 most intense, 10° ≤ 2θ ≤ 90°, sorted by position)
29.44 deg, d = 3.033 Å, rel. 16
35.10 deg, d = 2.557 Å, rel. 26
37.88 deg, d = 2.375 Å, rel. 15
42.34 deg, d = 2.135 Å, rel. 100
42.56 deg, d = 2.124 Å, rel. 72
48.69 deg, d = 1.870 Å, rel. 14
52.59 deg, d = 1.740 Å, rel. 19
61.10 deg, d = 1.517 Å, rel. 14
77.29 deg, d = 1.234 Å, rel. 23
83.86 deg, d = 1.154 Å, rel. 16